Structure and computed powder XRD pattern of Nd6Sm10Th (a structure optimized by DFT (PBE); a wavelength of 1.5418 Å).

The 10 most intense peaks (2θ from 10° to 80°), sorted by position:
hkl 2 0 1, 2θ = 24.4°, d 3.648, rel. 12
hkl 3 -1 1, 2θ = 30.5°, d 2.931, rel. 47
hkl 1 1 2, 2θ = 31.2°, d 2.864, rel. 100
hkl 3 0 0, 2θ = 31.5°, d 2.844, rel. 74
hkl 4 -2 2, 2θ = 44.9°, d 2.018, rel. 26
hkl 3 2 1, 2θ = 48.3°, d 1.886, rel. 14
hkl 4 -1 3, 2θ = 55.1°, d 1.666, rel. 10
hkl 2 -1 4, 2θ = 55.4°, d 1.657, rel. 18
hkl 4 1 2, 2θ = 55.9°, d 1.646, rel. 17
hkl 6 -1 1, 2θ = 62.0°, d 1.497, rel. 16

Cell and atoms:
abc: 9.8504 9.8504 7.0391
angles: 90.00 90.00 120.00
Atoms (fractional coordinates):
Nd (0.0000, 0.3749, 0.3009)
Nd (0.0000, 0.6251, 0.6991)
Nd (0.3749, 0.0000, 0.3009)
Nd (0.3749, 0.3749, 0.6991)
Nd (0.6251, 0.0000, 0.6991)
Nd (0.6251, 0.6251, 0.3009)
Sm (0.0000, 0.2716, 0.8153)
Sm (0.0000, 0.7284, 0.1847)
Sm (0.2716, 0.0000, 0.8153)
Sm (0.2716, 0.2716, 0.1847)
Sm (0.3333, 0.6667, 0.0000)
Sm (0.3333, 0.6667, 0.5000)
Sm (0.6667, 0.3333, 0.0000)
Sm (0.6667, 0.3333, 0.5000)
Sm (0.7284, 0.0000, 0.1847)
Sm (0.7284, 0.7284, 0.8153)
Th (0.0000, 0.0000, 0.5000)